# NaSmZn10
Computed powder XRD pattern, λ = 1.5418 Å (Cu Kα). Input: DFT lattice parameters and positions (GGA-PBE).
Peak positions follow from Bragg's law for the DFT cell and can differ from measured ones.

Atomic structure:
```
data_NaSmZn10
_cell_length_a 4.2969
_cell_length_b 5.2618
_cell_length_c 9.3260
_cell_angle_alpha 90.00
_cell_angle_beta 90.00
_cell_angle_gamma 90.00
_symmetry_space_group_name_H-M 'P m m m'
_symmetry_Int_Tables_number 47
loop_
_symmetry_equiv_pos_as_xyz
'x,y,z'
'-x,-y,-z'
'-x,-y,z'
'x,y,-z'
'x,-y,-z'
'-x,y,z'
'-x,y,-z'
'x,-y,z'
loop_
_atom_site_label
_atom_site_type_symbol
_atom_site_fract_x
_atom_site_fract_y
_atom_site_fract_z
Na1 Na 0.0000 0.0000 0.0000
Sm1 Sm 0.0000 0.5000 0.5000
Zn1 Zn 0.0000 0.0000 0.3192
Zn2 Zn 0.0000 0.5000 0.1594
Zn3 Zn 0.5000 0.0000 0.5000
Zn4 Zn 0.5000 0.2577 0.2606
Zn5 Zn 0.5000 0.5000 0.0000
```

The 8 most intense peaks (15 to 90 degrees two-theta), most intense first:
| Position (°2θ) | I/Imax |
| --- | --- |
| 39.67 | 100 |
| 40.19 | 49 |
| 42.06 | 46 |
| 44.83 | 31 |
| 39.32 | 29 |
| 28.48 | 22 |
| 64.77 | 21 |
| 33.48 | 21 |